# 1
Starting from a DFT-relaxed cell (PBE, Alexandria), the XRD peak list of ReGeF was computed for Cu Ka.

Main lines, sorted by position (5° ≤ 2θ ≤ 70°):
d = 10.947 Å, I 1000
d = 2.613 Å, I 124
d = 2.305 Å, I 220
d = 2.103 Å, I 119
d = 2.065 Å, I 77
d = 2.014 Å, I 132
d = 1.824 Å, I 25
d = 1.487 Å, I 39
d = 1.474 Å, I 27
d = 1.378 Å, I 39

```
6
Lattice="2.974 0.000 0.000 0.000 2.974 0.000 0.000 0.000 10.947" Properties=species:S:1:pos:R:3 pbc="T T T"
Re 0.744 0.744 0.859
Re 2.231 2.231 10.087
Ge 0.744 0.744 8.519
Ge 2.231 2.231 2.428
F 0.744 0.744 6.781
F 2.231 2.231 4.165
```

# 2
Starting from a DFT-relaxed cell (PBE, Alexandria), the XRD peak list of Sr3Cd8In3 was computed for Cu Ka.

Main lines, sorted by position (5° ≤ 2θ ≤ 70°):
d = 3.002 Å, I 136
d = 2.906 Å, I 1000
d = 2.877 Å, I 122
d = 2.694 Å, I 313
d = 2.475 Å, I 409
d = 2.412 Å, I 234
d = 2.332 Å, I 156
d = 2.265 Å, I 281
d = 1.727 Å, I 183
d = 1.500 Å, I 152

```
14
Lattice="-2.475 5.378 7.236 2.475 -5.378 7.236 2.475 5.378 -7.236" Properties=species:S:1:pos:R:3 pbc="T T T"
Sr 0.000 0.000 0.000
Sr 0.000 0.000 4.417
Sr 0.000 0.000 10.054
Cd 2.475 -1.438 2.383
Cd 2.475 -2.384 5.233
Cd 2.475 1.438 2.383
Cd 0.000 2.994 2.002
Cd 2.475 2.384 5.233
Cd 0.000 3.939 4.852
Cd 0.000 7.762 2.002
Cd 0.000 6.816 4.852
In 2.475 3.208 0.000
In 0.000 5.378 0.000
In 0.000 2.170 7.236
```

# 3
Starting from a DFT-relaxed cell (PBE, Alexandria), the XRD peak list of NdGa2Tc2P was computed for Cu Ka.

Main lines, sorted by position (5° ≤ 2θ ≤ 70°):
d = 3.504 Å, I 142
d = 2.840 Å, I 134
d = 2.754 Å, I 1000
d = 2.395 Å, I 601
d = 2.226 Å, I 663
d = 1.752 Å, I 126
d = 1.631 Å, I 361
d = 1.623 Å, I 119
d = 1.574 Å, I 218
d = 1.367 Å, I 224

```
6
Lattice="4.453 0.000 0.000 0.000 4.453 0.000 0.000 0.000 5.680" Properties=species:S:1:pos:R:3 pbc="T T T"
Nd 0.000 0.000 0.000
Ga 2.226 2.226 1.296
Ga 2.226 2.226 4.384
Tc 0.000 2.226 2.840
Tc 2.226 0.000 2.840
P 0.000 0.000 2.840
```

# 4
Starting from a DFT-relaxed cell (PBE, Alexandria), the XRD peak list of Mg6GaAg was computed for Cu Ka.

Main lines, sorted by position (5° ≤ 2θ ≤ 70°):
d = 8.009 Å, I 825
d = 4.004 Å, I 149
d = 3.232 Å, I 160
d = 2.997 Å, I 196
d = 2.515 Å, I 1000
d = 2.285 Å, I 391
d = 2.198 Å, I 140
d = 2.058 Å, I 170
d = 1.506 Å, I 171
d = 1.360 Å, I 266

```
8
Lattice="-2.285 2.285 8.009 2.285 -2.285 8.009 2.285 2.285 -8.009" Properties=species:S:1:pos:R:3 pbc="T T T"
Mg 2.285 0.000 1.779
Mg 0.000 0.000 4.005
Mg 2.285 0.000 6.230
Mg 0.000 2.285 1.779
Mg 0.000 0.000 12.012
Mg 0.000 2.285 6.230
Ga 0.000 0.000 0.000
Ag 0.000 0.000 8.009
```